The following is a computed powder XRD pattern of RbCoCl3. It was derived from a structure optimized by DFT (GGA-PBE), using Cu Kα (weighted mean of Kα1 and Kα2).

Largest 10 diffraction maxima, in order of rising 2θ, 10 to 80 degrees two-theta:
d/Å  I_rel
6.101  29
4.222  24
3.522  46
2.925  13
2.705  100
2.637  22
2.111  42
1.811  21
1.761  29
1.643  19

Atomic structure:
abc: 7.0447 7.0447 5.8490
angles: 90.00 90.00 120.00
Fractional positions:
Rb (0.3333, 0.6667, 0.2500)
Rb (0.6667, 0.3333, 0.7500)
Co (0.0000, 0.0000, 0.0000)
Co (0.0000, 0.0000, 0.5000)
Cl (0.1582, 0.3164, 0.7500)
Cl (0.1582, 0.8418, 0.7500)
Cl (0.3164, 0.1582, 0.2500)
Cl (0.6836, 0.8418, 0.7500)
Cl (0.8418, 0.1582, 0.2500)
Cl (0.8418, 0.6836, 0.2500)